No. 1
Starting from a DFT-relaxed cell (PBE, Alexandria), the powder XRD pattern of LaDy5Hg3 was simulated for λ = 1.5418 Å (Cu Kα).

Top 8 peaks for 15° ≤ 2θ ≤ 90°, sorted by position:
d = 2.776 Å, 2θ = 32.25°, intensity 97; d = 2.638 Å, 2θ = 33.98°, intensity 100; d = 2.106 Å, 2θ = 42.96°, intensity 17; d = 1.912 Å, 2θ = 47.55°, intensity 33; d = 1.548 Å, 2θ = 59.72°, intensity 33; d = 1.523 Å, 2θ = 60.81°, intensity 19; d = 1.457 Å, 2θ = 63.91°, intensity 33; d = 1.148 Å, 2θ = 84.36°, intensity 15

Structure:
a b c (Å): 9.139 9.139 6.988
angles (deg): 90.00 90.00 120.00
Fractional coordinates of all 18 atoms:
La 0.000 0.000 0.000
La 0.000 0.000 0.500
Dy 0.000 0.331 0.250
Dy 0.000 0.669 0.750
Dy 0.331 0.000 0.250
Dy 0.331 0.331 0.750
Dy 0.333 0.667 0.000
Dy 0.333 0.667 0.500
Dy 0.667 0.333 0.000
Dy 0.667 0.333 0.500
Dy 0.669 0.000 0.750
Dy 0.669 0.669 0.250
Hg 0.000 0.342 0.750
Hg 0.000 0.658 0.250
Hg 0.342 0.000 0.750
Hg 0.342 0.342 0.250
Hg 0.658 0.000 0.250
Hg 0.658 0.658 0.750

---

No. 2
Starting from a DFT-relaxed cell (PBE, Alexandria), the powder XRD pattern of LaNdDy2Hg4 was simulated for λ = 1.5418 Å (Cu Kα).

Top 8 peaks for 15° ≤ 2θ ≤ 90°, sorted by position:
d = 3.804 Å, 2θ = 23.39°, intensity 2; d = 2.690 Å, 2θ = 33.31°, intensity 100; d = 1.902 Å, 2θ = 47.82°, intensity 18; d = 1.701 Å, 2θ = 53.90°, intensity 1; d = 1.553 Å, 2θ = 59.53°, intensity 38; d = 1.345 Å, 2θ = 69.95°, intensity 12; d = 1.203 Å, 2θ = 79.72°, intensity 17; d = 1.098 Å, 2θ = 89.18°, intensity 4

Structure:
a b c (Å): 9.319 9.319 9.319
angles (deg): 33.55 33.55 33.55
Fractional coordinates of all 8 atoms:
La 0.000 0.000 0.000
Nd 0.500 0.500 0.500
Dy 0.250 0.250 0.250
Dy 0.750 0.750 0.750
Hg 0.126 0.126 0.126
Hg 0.376 0.376 0.376
Hg 0.624 0.624 0.624
Hg 0.874 0.874 0.874

---

No. 3
Starting from a DFT-relaxed cell (PBE, Alexandria), the powder XRD pattern of La2NdDyHg2 was simulated for λ = 1.5418 Å (Cu Kα).

Top 8 peaks for 15° ≤ 2θ ≤ 90°, sorted by position:
d = 3.194 Å, 2θ = 27.94°, intensity 34; d = 2.999 Å, 2θ = 29.79°, intensity 19; d = 2.923 Å, 2θ = 30.58°, intensity 27; d = 2.865 Å, 2θ = 31.22°, intensity 100; d = 2.745 Å, 2θ = 32.63°, intensity 86; d = 2.606 Å, 2θ = 34.41°, intensity 57; d = 2.197 Å, 2θ = 41.08°, intensity 23; d = 1.946 Å, 2θ = 46.68°, intensity 19

Structure:
a b c (Å): 5.212 9.685 7.334
angles (deg): 90.00 90.00 90.00
Fractional coordinates of all 12 atoms:
La 0.000 0.058 0.000
La 0.000 0.942 0.500
La 0.500 0.171 0.315
La 0.500 0.829 0.815
Nd 0.500 0.443 0.974
Nd 0.500 0.557 0.474
Dy 0.000 0.327 0.654
Dy 0.000 0.673 0.154
Hg 0.000 0.364 0.233
Hg 0.000 0.636 0.733
Hg 0.500 0.160 0.747
Hg 0.500 0.840 0.247

---

No. 4
Starting from a DFT-relaxed cell (PBE, Alexandria), the powder XRD pattern of LaPmDy2Hg4 was simulated for λ = 1.5418 Å (Cu Kα).

Top 8 peaks for 15° ≤ 2θ ≤ 90°, sorted by position:
d = 3.796 Å, 2θ = 23.43°, intensity 2; d = 2.684 Å, 2θ = 33.38°, intensity 100; d = 1.898 Å, 2θ = 47.92°, intensity 18; d = 1.550 Å, 2θ = 59.64°, intensity 29; d = 1.549 Å, 2θ = 59.70°, intensity 10; d = 1.342 Å, 2θ = 70.11°, intensity 12; d = 1.201 Å, 2θ = 79.90°, intensity 17; d = 1.095 Å, 2θ = 89.45°, intensity 3

Structure:
a b c (Å): 9.309 9.309 9.309
angles (deg): 33.50 33.50 33.50
Fractional coordinates of all 8 atoms:
La 0.000 0.000 0.000
Pm 0.500 0.500 0.500
Dy 0.249 0.249 0.249
Dy 0.751 0.751 0.751
Hg 0.126 0.126 0.126
Hg 0.377 0.377 0.377
Hg 0.623 0.623 0.623
Hg 0.874 0.874 0.874

---

No. 5
Starting from a DFT-relaxed cell (PBE, Alexandria), the powder XRD pattern of LaTbDyHg was simulated for λ = 1.5418 Å (Cu Kα).

Top 8 peaks for 15° ≤ 2θ ≤ 90°, sorted by position:
d = 2.836 Å, 2θ = 31.54°, intensity 100; d = 2.610 Å, 2θ = 34.36°, intensity 44; d = 2.307 Å, 2θ = 39.05°, intensity 11; d = 2.216 Å, 2θ = 40.72°, intensity 9; d = 1.846 Å, 2θ = 49.38°, intensity 16; d = 1.689 Å, 2θ = 54.31°, intensity 16; d = 1.547 Å, 2θ = 59.78°, intensity 33; d = 1.418 Å, 2θ = 65.86°, intensity 9

Structure:
a b c (Å): 3.692 3.692 8.863
angles (deg): 90.00 90.00 90.00
Fractional coordinates of all 4 atoms:
La 0.000 0.000 0.000
Tb 0.500 0.500 0.712
Dy 0.500 0.500 0.286
Hg 0.000 0.000 0.497

---

No. 6
Starting from a DFT-relaxed cell (PBE, Alexandria), the powder XRD pattern of LiDyHg5 was simulated for λ = 1.5418 Å (Cu Kα).

Top 8 peaks for 15° ≤ 2θ ≤ 90°, sorted by position:
d = 5.137 Å, 2θ = 17.26°, intensity 26; d = 2.572 Å, 2θ = 34.89°, intensity 100; d = 2.303 Å, 2θ = 39.12°, intensity 37; d = 2.096 Å, 2θ = 43.16°, intensity 17; d = 1.550 Å, 2θ = 59.66°, intensity 22; d = 1.377 Å, 2θ = 68.08°, intensity 16; d = 1.374 Å, 2θ = 68.24°, intensity 15; d = 1.284 Å, 2θ = 73.80°, intensity 18

Structure:
a b c (Å): 6.501 8.382 6.526
angles (deg): 90.00 90.00 90.00
Fractional coordinates of all 14 atoms:
Li 0.000 0.000 0.000
Li 0.500 0.500 0.000
Dy 0.000 0.500 0.500
Dy 0.500 0.000 0.500
Hg 0.000 0.500 0.000
Hg 0.250 0.250 0.254
Hg 0.250 0.250 0.746
Hg 0.250 0.750 0.254
Hg 0.250 0.750 0.746
Hg 0.500 0.000 0.000
Hg 0.750 0.250 0.254
Hg 0.750 0.250 0.746
Hg 0.750 0.750 0.254
Hg 0.750 0.750 0.746

---

No. 7
Starting from a DFT-relaxed cell (PBE, Alexandria), the powder XRD pattern of LiDy3Hg5 was simulated for λ = 1.5418 Å (Cu Kα).

Top 8 peaks for 15° ≤ 2θ ≤ 90°, sorted by position:
d = 3.106 Å, 2θ = 28.74°, intensity 14; d = 2.662 Å, 2θ = 33.67°, intensity 29; d = 2.598 Å, 2θ = 34.52°, intensity 100; d = 2.556 Å, 2θ = 35.10°, intensity 91; d = 1.993 Å, 2θ = 45.51°, intensity 14; d = 1.822 Å, 2θ = 50.05°, intensity 29; d = 1.492 Å, 2θ = 62.22°, intensity 24; d = 1.333 Å, 2θ = 70.66°, intensity 26

Structure:
a b c (Å): 9.001 9.001 6.212
angles (deg): 90.00 90.00 120.00
Fractional coordinates of all 18 atoms:
Li 0.000 0.000 0.000
Li 0.000 0.000 0.500
Dy 0.000 0.363 0.250
Dy 0.000 0.637 0.750
Dy 0.363 0.000 0.250
Dy 0.363 0.363 0.750
Dy 0.637 0.000 0.750
Dy 0.637 0.637 0.250
Hg 0.000 0.294 0.750
Hg 0.000 0.706 0.250
Hg 0.294 0.000 0.750
Hg 0.294 0.294 0.250
Hg 0.333 0.667 0.000
Hg 0.333 0.667 0.500
Hg 0.667 0.333 0.000
Hg 0.667 0.333 0.500
Hg 0.706 0.000 0.250
Hg 0.706 0.706 0.750

---

No. 8
Starting from a DFT-relaxed cell (PBE, Alexandria), the powder XRD pattern of LiDy3Hg2 was simulated for λ = 1.5418 Å (Cu Kα).

Top 8 peaks for 15° ≤ 2θ ≤ 90°, sorted by position:
d = 4.269 Å, 2θ = 20.81°, intensity 22; d = 2.626 Å, 2θ = 34.14°, intensity 97; d = 2.612 Å, 2θ = 34.33°, intensity 100; d = 1.852 Å, 2θ = 49.20°, intensity 35; d = 1.519 Å, 2θ = 61.00°, intensity 19; d = 1.511 Å, 2θ = 61.36°, intensity 36; d = 1.508 Å, 2θ = 61.49°, intensity 19; d = 1.173 Å, 2θ = 82.16°, intensity 17

Structure:
a b c (Å): 5.224 5.224 12.900
angles (deg): 90.00 90.00 120.00
Fractional coordinates of all 12 atoms:
Li 0.333 0.667 0.172
Li 0.667 0.333 0.828
Dy 0.000 0.000 0.252
Dy 0.000 0.000 0.748
Dy 0.333 0.667 0.419
Dy 0.333 0.667 0.920
Dy 0.667 0.333 0.080
Dy 0.667 0.333 0.581
Hg 0.000 0.000 0.000
Hg 0.000 0.000 0.500
Hg 0.333 0.667 0.683
Hg 0.667 0.333 0.317